For LiS2O6, a cell relaxed with GGA-PBE gives the simulated powder X-ray diffraction pattern in this record (Cu Kα X-rays).
Lines closer than 0.1° are merged.

Largest 10 diffraction maxima, most intense first, 10° ≤ 2θ ≤ 90°:
2θ (°)  I/Imax
24.98  100
18.67  98
25.45  90
30.56  62
17.56  39
17.71  33
25.85  31
29.58  29
35.95  22
12.84  18

Structural model:
abc: 7.4236 7.4236 5.8555
angles: 111.59 111.59 84.82
Fractional coordinates of all 18 atoms:
Li 0.1919 0.8081 0.7500
Li 0.8081 0.1919 0.2500
S 0.2008 0.3686 0.7346
S 0.3686 0.2008 0.2346
S 0.6314 0.7992 0.7654
S 0.7992 0.6314 0.2654
O 0.0314 0.2329 0.5883
O 0.1622 0.5740 0.8273
O 0.2329 0.0314 0.0883
O 0.3051 0.3633 0.4254
O 0.3633 0.3051 0.9254
O 0.4260 0.8378 0.6727
O 0.5740 0.1622 0.3273
O 0.6367 0.6949 0.0746
O 0.6949 0.6367 0.5746
O 0.7671 0.9686 0.9117
O 0.8378 0.4260 0.1727
O 0.9686 0.7671 0.4117